Record 1
Starting from a DFT-relaxed cell (GGA-PBE, Alexandria), the powder X-ray diffraction pattern of Sr3Eu was simulated for copper Kα.

Principal peaks in the range 10° ≤ 2θ ≤ 90°, low angle first:
2θ 14.9, d 5.939, intensity 6, hkl 1 0 0; 2θ 21.2, d 4.200, intensity 6, hkl 1 1 0; 2θ 26.0, d 3.429, intensity 100, hkl 1 1 1; 2θ 30.1, d 2.970, intensity 52, hkl 2 0 0; 2θ 43.1, d 2.100, intensity 38, hkl 2 2 0; 2θ 51.0, d 1.791, intensity 47, hkl 3 1 1; 2θ 53.4, d 1.714, intensity 14, hkl 2 2 2; 2θ 62.6, d 1.485, intensity 6, hkl 4 0 0; 2θ 68.9, d 1.363, intensity 19, hkl 3 3 1; 2θ 71.0, d 1.328, intensity 17, hkl 4 2 0; 2θ 79.0, d 1.212, intensity 13, hkl 4 2 2; 2θ 84.8, d 1.143, intensity 15, hkl 5 1 1

Cell and atoms:
```
data_Sr3Eu
_chemical_formula_sum 'Sr3 Eu1'
_symmetry_space_group_name_H-M 'P m -3 m'
_symmetry_Int_Tables_number 221
_symmetry_space_group_name_Hall '-P 4 2 3'
_cell_length_a 5.9391
_cell_length_b 5.9391
_cell_length_c 5.9391
_cell_angle_alpha 90.00
_cell_angle_beta 90.00
_cell_angle_gamma 90.00
loop_
_atom_site_label
_atom_site_type_symbol
_atom_site_fract_x
_atom_site_fract_y
_atom_site_fract_z
_atom_site_occupancy
Sr1 Sr 0.0000 0.0000 0.5000 1
Eu1 Eu 0.5000 0.5000 0.5000 1
```

***

Record 2
Starting from a DFT-relaxed cell (GGA-PBE, Alexandria), the powder X-ray diffraction pattern of Sr3Eu was simulated for copper Kα.

Principal peaks in the range 10° ≤ 2θ ≤ 90°, low angle first:
2θ 24.5, d 3.634, intensity 12, hkl 0 0 2; 2θ 24.7, d 3.612, intensity 25, hkl 1 0 1; 2θ 25.8, d 3.448, intensity 40, hkl 0 4 0; 2θ 27.7, d 3.215, intensity 52, hkl 0 2 2; 2θ 27.9, d 3.199, intensity 100, hkl 1 2 1; 2θ 36.0, d 2.494, intensity 19, hkl 1 4 1; 2θ 43.2, d 2.094, intensity 20, hkl 1 0 3; 2θ 43.5, d 2.081, intensity 10, hkl 2 0 0; 2θ 46.8, d 1.940, intensity 37, hkl 0 6 2; 2θ 51.0, d 1.790, intensity 25, hkl 1 4 3; 2θ 51.3, d 1.781, intensity 13, hkl 2 4 0; 2θ 52.4, d 1.747, intensity 18, hkl 2 2 2

Cell and atoms:
```
data_Sr3Eu
_chemical_formula_sum 'Sr6 Eu2'
_symmetry_space_group_name_H-M 'I m m 2'
_symmetry_Int_Tables_number 44
_symmetry_space_group_name_Hall 'I 2 -2'
_cell_length_a 4.1615
_cell_length_b 13.7901
_cell_length_c 7.2689
_cell_angle_alpha 90.00
_cell_angle_beta 90.00
_cell_angle_gamma 90.00
loop_
_atom_site_label
_atom_site_type_symbol
_atom_site_fract_x
_atom_site_fract_y
_atom_site_fract_z
_atom_site_occupancy
Sr1 Sr 0.0000 0.0000 0.0000 1
Sr2 Sr 0.0000 0.2479 0.3308 1
Eu1 Eu 0.0000 0.5000 0.0008 1
```

***

Record 3
Starting from a DFT-relaxed cell (GGA-PBE, Alexandria), the powder X-ray diffraction pattern of SrEuTl4 was simulated for copper Kα.

Principal peaks in the range 10° ≤ 2θ ≤ 90°, low angle first:
2θ 16.8, d 5.291, intensity 27, hkl 1 1 1; 2θ 27.5, d 3.240, intensity 14, hkl 2 2 0; 2θ 32.4, d 2.763, intensity 100, hkl 3 1 1; 2θ 33.9, d 2.646, intensity 58, hkl 2 2 2; 2θ 39.3, d 2.291, intensity 14, hkl 4 0 0; 2θ 43.0, d 2.103, intensity 8, hkl 3 3 1; 2θ 51.8, d 1.764, intensity 36, hkl 5 1 1; 2θ 56.8, d 1.620, intensity 34, hkl 4 4 0; 2θ 59.7, d 1.549, intensity 6, hkl 5 3 1; 2θ 67.0, d 1.398, intensity 13, hkl 5 3 3; 2θ 67.8, d 1.382, intensity 24, hkl 6 2 2; 2θ 80.5, d 1.193, intensity 23, hkl 7 3 1

Cell and atoms:
```
data_SrEuTl4
_chemical_formula_sum 'Sr4 Eu4 Tl16'
_symmetry_space_group_name_H-M 'F -4 3 m'
_symmetry_Int_Tables_number 216
_symmetry_space_group_name_Hall 'F -4 2 3'
_cell_length_a 9.1646
_cell_length_b 9.1646
_cell_length_c 9.1646
_cell_angle_alpha 90.00
_cell_angle_beta 90.00
_cell_angle_gamma 90.00
loop_
_atom_site_label
_atom_site_type_symbol
_atom_site_fract_x
_atom_site_fract_y
_atom_site_fract_z
_atom_site_occupancy
Sr1 Sr 0.0000 0.0000 0.0000 1
Eu1 Eu 0.2500 0.2500 0.7500 1
Tl1 Tl 0.1248 0.1248 0.3752 1
```

***

Record 4
Starting from a DFT-relaxed cell (GGA-PBE, Alexandria), the powder X-ray diffraction pattern of Eu3Ta was simulated for copper Kα.

Principal peaks in the range 10° ≤ 2θ ≤ 90°, low angle first:
2θ 32.2, d 2.781, intensity 100, hkl 2 2 0; 2θ 46.2, d 1.966, intensity 18, hkl 4 0 0; 2θ 57.4, d 1.605, intensity 39, hkl 4 2 2; 2θ 67.4, d 1.390, intensity 12, hkl 4 4 0; 2θ 76.6, d 1.244, intensity 17, hkl 6 2 0; 2θ 85.6, d 1.135, intensity 4, hkl 4 4 4

Cell and atoms:
```
data_Eu3Ta
_chemical_formula_sum 'Eu12 Ta4'
_symmetry_space_group_name_H-M 'F m -3 m'
_symmetry_Int_Tables_number 225
_symmetry_space_group_name_Hall '-F 4 2 3'
_cell_length_a 7.8647
_cell_length_b 7.8647
_cell_length_c 7.8647
_cell_angle_alpha 90.00
_cell_angle_beta 90.00
_cell_angle_gamma 90.00
loop_
_atom_site_label
_atom_site_type_symbol
_atom_site_fract_x
_atom_site_fract_y
_atom_site_fract_z
_atom_site_occupancy
Eu1 Eu 0.0000 0.0000 0.0000 1
Eu2 Eu 0.2500 0.2500 0.2500 1
Ta1 Ta 0.0000 0.0000 0.5000 1
```

***

Record 5
Starting from a DFT-relaxed cell (GGA-PBE, Alexandria), the powder X-ray diffraction pattern of EuTe was simulated for copper Kα.

Principal peaks in the range 10° ≤ 2θ ≤ 90°, low angle first:
2θ 23.5, d 3.778, intensity 2, hkl 1 1 1; 2θ 27.3, d 3.272, intensity 100, hkl 2 0 0; 2θ 38.9, d 2.314, intensity 78, hkl 2 2 0; 2θ 46.0, d 1.973, intensity 1, hkl 3 1 1; 2θ 48.2, d 1.889, intensity 28, hkl 2 2 2; 2θ 56.2, d 1.636, intensity 13, hkl 4 0 0; 2θ 63.6, d 1.463, intensity 36, hkl 4 2 0; 2θ 70.5, d 1.336, intensity 27, hkl 4 2 2; 2θ 83.6, d 1.157, intensity 9, hkl 4 4 0; 2θ 90.0, d 1.091, intensity 18, hkl 6 0 0

Cell and atoms:
```
data_EuTe
_chemical_formula_sum 'Eu4 Te4'
_symmetry_space_group_name_H-M 'F m -3 m'
_symmetry_Int_Tables_number 225
_symmetry_space_group_name_Hall '-F 4 2 3'
_cell_length_a 6.5440
_cell_length_b 6.5440
_cell_length_c 6.5440
_cell_angle_alpha 90.00
_cell_angle_beta 90.00
_cell_angle_gamma 90.00
loop_
_atom_site_label
_atom_site_type_symbol
_atom_site_fract_x
_atom_site_fract_y
_atom_site_fract_z
_atom_site_occupancy
Eu1 Eu 0.0000 0.0000 0.0000 1
Te1 Te 0.0000 0.0000 0.5000 1
```

***

Record 6
Starting from a DFT-relaxed cell (GGA-PBE, Alexandria), the powder X-ray diffraction pattern of EuTl2 was simulated for copper Kα.

Principal peaks in the range 10° ≤ 2θ ≤ 90°, low angle first:
2θ 31.4, d 2.852, intensity 100, hkl 1 1 1; 2θ 35.7, d 2.513, intensity 17, hkl 0 0 3; 2θ 36.3, d 2.477, intensity 17, hkl 2 0 -1; 2θ 37.1, d 2.424, intensity 16, hkl 0 2 0; 2θ 51.7, d 1.768, intensity 6, hkl 2 0 2; 2θ 52.4, d 1.745, intensity 12, hkl 0 2 3; 2θ 52.9, d 1.732, intensity 12, hkl 2 2 -1; 2θ 61.4, d 1.510, intensity 7, hkl 1 1 4; 2θ 61.6, d 1.507, intensity 7, hkl 1 1 -5; 2θ 62.1, d 1.494, intensity 7, hkl 3 1 0; 2θ 62.3, d 1.491, intensity 7, hkl 3 1 -3; 2θ 63.3, d 1.469, intensity 14, hkl 1 3 1

Cell and atoms:
```
data_EuTl2
_chemical_formula_sum 'Eu2 Tl4'
_symmetry_space_group_name_H-M 'P 1 2/m 1'
_symmetry_Int_Tables_number 10
_symmetry_space_group_name_Hall '-P 2y'
_cell_length_a 4.9531
_cell_length_b 4.8472
_cell_length_c 7.9259
_cell_angle_alpha 90.00
_cell_angle_beta 107.96
_cell_angle_gamma 90.00
loop_
_atom_site_label
_atom_site_type_symbol
_atom_site_fract_x
_atom_site_fract_y
_atom_site_fract_z
_atom_site_occupancy
Eu1 Eu 0.1581 0.0000 0.3144 1
Tl1 Tl 0.0000 0.5000 0.0000 1
Tl2 Tl 0.3306 0.5000 0.6624 1
Tl3 Tl 0.5000 0.0000 0.0000 1
```